Entry 1:
Simulated X-ray powder pattern
Compound: Pr2H5Rh2
Radiation: Cu Kα (weighted mean of Kα1 and Kα2)
Structure: the PBE geometry in Alexandria

```
data_Pr2H5Rh2
_chemical_formula_sum 'Pr4 H10 Rh4'
_space_group_name_H-M_alt 'P -1'
_space_group_IT_number 2
_cell_length_a 5.2700
_cell_length_b 5.2840
_cell_length_c 8.3708
_cell_angle_alpha 108.30
_cell_angle_beta 108.25
_cell_angle_gamma 90.00
loop_
_space_group_symop_operation_xyz
'x,y,z'
'-x,-y,-z'
loop_
_atom_site_label
_atom_site_fract_x
_atom_site_fract_y
_atom_site_fract_z
_atom_site_occupancy
Pr1 0.1288 0.1292 0.2586 1
Pr2 0.3701 0.3707 0.7416 1
H1 0.1179 0.6270 0.2539 1
H2 0.2483 0.2481 0.9966 1
H3 0.2483 0.7485 0.9966 1
H4 0.3638 0.8730 0.7462 1
H5 0.5000 0.0000 0.5000 1
H6 0.5000 0.5000 0.5000 1
Rh1 0.0000 0.5000 0.0000 1
Rh2 0.2350 0.7499 0.5001 1
Rh3 0.5000 0.0000 0.0000 1
```

Main lines, sorted by position (10 to 90 degrees two-theta):
index  d [Å]  I (rel.)
0 2 -1  2.645  100
2 0 -1  2.635  20
0 0 4  1.876  7
2 2 -2  1.866  15
0 2 3  1.530  7
1 3 0  1.527  15
1 3 -4  1.525  15
3 1 -4  1.522  7
0 4 -2  1.321  5
1 1 5  1.186  5
2 4 -3  1.181  6
3 3 -5  1.179  5

=====

Entry 2:
Simulated X-ray powder pattern
Compound: K2CaTlCl5
Radiation: Cu Kα (weighted mean of Kα1 and Kα2)
Structure: the PBE geometry in Alexandria

```
data_K2CaTlCl5
_chemical_formula_sum 'K2 Ca1 Tl1 Cl5'
_space_group_name_H-M_alt 'P 4/m m m'
_space_group_IT_number 123
_space_group_name_Hall '-P 4 2'
_cell_length_a 5.2387
_cell_length_b 5.2387
_cell_length_c 11.5013
_cell_angle_alpha 90.00
_cell_angle_beta 90.00
_cell_angle_gamma 90.00
loop_
_atom_site_label
_atom_site_fract_x
_atom_site_fract_y
_atom_site_fract_z
_atom_site_occupancy
K1 0.0000 0.0000 0.2207 1
Ca1 0.5000 0.5000 0.0000 1
Tl1 0.5000 0.5000 0.5000 1
Cl1 0.0000 0.0000 0.5000 1
Cl2 0.0000 0.5000 0.0000 1
Cl3 0.5000 0.5000 0.2372 1
```

Main lines, sorted by position (10 to 90 degrees two-theta):
index  d [Å]  I (rel.)
0 0 2  5.751  43
1 0 0  5.239  65
1 0 1  4.767  42
1 0 2  3.873  72
1 1 0  3.704  100
1 1 1  3.526  81
0 0 4  2.875  45
1 1 3  2.664  67
2 0 0  2.619  76
1 1 4  2.271  44
2 1 2  2.170  32
2 0 4  1.936  53

=====

Entry 3:
Simulated X-ray powder pattern
Compound: Ba6Ag3Br14
Radiation: Cu Kα (weighted mean of Kα1 and Kα2)
Structure: the PBE geometry in Alexandria

```
data_Ba6Ag3Br14
_chemical_formula_sum 'Ba6 Ag3 Br14'
_space_group_name_H-M_alt 'P 3'
_space_group_IT_number 143
_cell_length_a 11.7129
_cell_length_b 11.7129
_cell_length_c 6.7346
_cell_angle_alpha 90.00
_cell_angle_beta 90.00
_cell_angle_gamma 120.00
loop_
_space_group_symop_operation_xyz
'x,y,z'
'-y,x-y,z'
'-x+y,-x,z'
loop_
_atom_site_label
_atom_site_fract_x
_atom_site_fract_y
_atom_site_fract_z
_atom_site_occupancy
Ba1 0.0330 0.5620 0.0000 1
Ba2 0.3012 0.1064 0.4963 1
Ag1 0.0000 0.0000 0.9014 1
Ag2 0.3333 0.6667 0.4072 1
Ag3 0.6667 0.3333 0.2530 1
Br1 0.0000 0.0000 0.3012 1
Br2 0.0908 0.8442 0.7481 1
Br3 0.1766 0.4204 0.2513 1
Br4 0.3333 0.6667 0.8058 1
Br5 0.3981 0.1672 0.0008 1
Br6 0.5019 0.4379 0.5220 1
```

Main lines, sorted by position (10 to 90 degrees two-theta):
index  d [Å]  I (rel.)
0 2 1  4.051  28
2 1 1  3.332  45
3 0 1  3.022  41
2 2 0  2.926  95
0 2 2  2.808  100
3 1 1  2.596  19
3 -1 2  2.531  32
4 1 0  2.212  22
5 -3 1  2.200  15
1 4 1  2.103  20
1 5 2  1.602  17
7 -1 1  1.508  15

=====

Entry 4:
Simulated X-ray powder pattern
Compound: K2HoPuS4
Radiation: Cu Kα (weighted mean of Kα1 and Kα2)
Structure: the PBE geometry in Alexandria

```
data_K2HoPuS4
_chemical_formula_sum 'K2 Ho1 Pu1 S4'
_space_group_name_H-M_alt 'P 1 2/m 1'
_space_group_IT_number 10
_cell_length_a 7.0757
_cell_length_b 4.0805
_cell_length_c 7.7134
_cell_angle_alpha 90.00
_cell_angle_beta 107.84
_cell_angle_gamma 90.00
loop_
_space_group_symop_operation_xyz
'x,y,z'
'-x,-y,-z'
'-x,y,-z'
'x,-y,z'
loop_
_atom_site_label
_atom_site_fract_x
_atom_site_fract_y
_atom_site_fract_z
_atom_site_occupancy
K1 0.0000 0.0000 0.0000 1
K2 0.5000 0.5000 0.0000 1
Ho1 0.0000 0.5000 0.5000 1
Pu1 0.5000 0.0000 0.5000 1
S1 0.2293 0.0000 0.7017 1
S2 0.2637 0.5000 0.3000 1
```

Main lines, sorted by position (10 to 90 degrees two-theta):
index  d [Å]  I (rel.)
0 0 1  7.342  94
0 0 2  3.671  21
2 0 -1  3.491  36
2 0 0  3.367  45
2 0 -2  2.975  100
1 1 2  2.351  23
1 1 -3  2.172  36
0 2 0  2.041  35
3 1 0  1.967  22
3 1 1  1.784  18
2 2 -2  1.683  18
1 3 1  1.299  15